1.
Simulated powder diffraction line list of Sr4SnO6 for Cu Kα (λ = 1.5418 Å), from a crystal structure in Alexandria, relaxed with PBE.
Peak positions follow from Bragg's law for the DFT cell and can differ from measured ones.

Structure:
a = 7.059 Å, b = 7.059 Å, c = 7.059 Å
α = 90.42°, β = 90.42°, γ = 90.42°
Positions (direct):
Sr: 0.109 0.750 0.391
Sr: 0.250 0.250 0.250
Sr: 0.250 0.609 0.891
Sr: 0.391 0.109 0.750
Sr: 0.609 0.891 0.250
Sr: 0.750 0.391 0.109
Sr: 0.750 0.750 0.750
Sr: 0.891 0.250 0.609
Sn: 0.000 0.000 0.000
Sn: 0.500 0.500 0.500
O: 0.055 0.927 0.712
O: 0.073 0.288 0.945
O: 0.212 0.427 0.555
O: 0.288 0.945 0.073
O: 0.427 0.555 0.212
O: 0.445 0.788 0.573
O: 0.555 0.212 0.427
O: 0.573 0.445 0.788
O: 0.712 0.055 0.927
O: 0.788 0.573 0.445
O: 0.927 0.712 0.055
O: 0.945 0.073 0.288

Main lines, in order of rising 2θ (5° ≤ 2θ ≤ 70°):
2theta	intensity
17.71	19
28.36	55
30.92	100
36.13	25
40.51	35
42.45	37
53.43	15
54.99	19
55.19	21
64.43	14

2.
Simulated powder diffraction line list of SrZrTiSnO6 for Cu Kα (λ = 1.5418 Å), from a crystal structure in Alexandria, relaxed with PBE.
Peak positions follow from Bragg's law for the DFT cell and can differ from measured ones.

Structure:
a = 5.752 Å, b = 5.752 Å, c = 5.752 Å
α = 60.00°, β = 60.00°, γ = 60.00°
Positions (direct):
Sr: 0.000 0.000 0.000
Zr: 0.250 0.250 0.250
Ti: 0.750 0.750 0.750
Sn: 0.500 0.500 0.500
O: 0.508 0.508 0.992
O: 0.508 0.992 0.508
O: 0.508 0.992 0.992
O: 0.992 0.508 0.508
O: 0.992 0.508 0.992
O: 0.992 0.992 0.508

Main lines, in order of rising 2θ (5° ≤ 2θ ≤ 70°):
2theta	intensity
18.90	6
31.10	100
36.64	4
38.33	11
44.56	36
48.80	2
55.33	40
59.01	1
64.84	21
68.21	1